Simulated PXRD pattern
Compound: La4Pm5Mg2
Radiation: Cu Kα X-rays
Structure: the PBE geometry in Alexandria

Structural model:
```
data_La4Pm5Mg2
_chemical_formula_sum 'La8 Pm10 Mg4'
_symmetry_space_group_name_H-M 'C 1 2/m 1'
_symmetry_Int_Tables_number 12
_symmetry_space_group_name_Hall '-C 2y'
_cell_length_a 23.1882
_cell_length_b 3.5983
_cell_length_c 8.9533
_cell_angle_alpha 90.00
_cell_angle_beta 93.12
_cell_angle_gamma 90.00
loop_
_atom_site_label
_atom_site_type_symbol
_atom_site_fract_x
_atom_site_fract_y
_atom_site_fract_z
La1 La 0.0707 0.0000 0.2098
La2 La 0.2143 0.5000 0.3249
Pm1 Pm 0.0000 0.5000 0.5000
Pm2 Pm 0.1278 0.0000 0.6037
Pm3 Pm 0.1835 0.0000 0.9681
Mg1 Mg 0.0570 0.5000 0.8699
```

Largest 6 diffraction maxima, by intensity, 2θ from 5° to 70°:
31.45°, 2.844 Å, I = 100, (6 0 2)
30.57°, 2.925 Å, I = 98, (2 0 -3)
32.75°, 2.734 Å, I = 84, (5 1 -1)
31.98°, 2.798 Å, I = 71, (8 0 -1)
34.41°, 2.606 Å, I = 61, (3 1 2)
54.58°, 1.681 Å, I = 37, (4 0 5)

---

Simulated PXRD pattern
Compound: Tb7Pm3In2
Radiation: Cu Kα X-rays
Structure: the PBE geometry in Alexandria

Structural model:
```
data_Tb7Pm3In2
_chemical_formula_sum 'Tb7 Pm3 In2'
_symmetry_space_group_name_H-M 'P 1 2/m 1'
_symmetry_Int_Tables_number 10
_symmetry_space_group_name_Hall '-P 2y'
_cell_length_a 5.6735
_cell_length_b 3.6271
_cell_length_c 18.5537
_cell_angle_alpha 90.00
_cell_angle_beta 93.59
_cell_angle_gamma 90.00
loop_
_atom_site_label
_atom_site_type_symbol
_atom_site_fract_x
_atom_site_fract_y
_atom_site_fract_z
Tb1 Tb 0.0000 0.0000 0.0000
Tb2 Tb 0.1760 0.5000 0.1713
Tb3 Tb 0.2587 0.5000 0.5406
Tb4 Tb 0.3267 0.0000 0.8507
Pm1 Pm 0.2229 0.0000 0.3637
Pm2 Pm 0.5000 0.5000 0.0000
In1 In 0.2938 0.5000 0.7082
```

Largest 6 diffraction maxima, by intensity, 2θ from 5° to 70°:
31.14°, 2.872 Å, I = 100, (1 1 2)
31.65°, 2.827 Å, I = 55, (2 0 -1)
50.29°, 1.814 Å, I = 35, (0 2 0)
34.63°, 2.590 Å, I = 32, (1 1 -4)
28.93°, 3.086 Å, I = 29, (0 0 6)
32.26°, 2.775 Å, I = 29, (1 1 -3)

---

Simulated PXRD pattern
Compound: Cs2TeAsSe4
Radiation: Cu Kα X-rays
Structure: the PBE geometry in Alexandria

Structural model:
```
data_Cs2TeAsSe4
_chemical_formula_sum 'Cs8 Te4 As4 Se16'
_symmetry_space_group_name_H-M 'C 1 2/c 1'
_symmetry_Int_Tables_number 15
_symmetry_space_group_name_Hall '-C 2yc'
_cell_length_a 12.5090
_cell_length_b 12.5321
_cell_length_c 8.6996
_cell_angle_alpha 90.00
_cell_angle_beta 129.38
_cell_angle_gamma 90.00
loop_
_atom_site_label
_atom_site_type_symbol
_atom_site_fract_x
_atom_site_fract_y
_atom_site_fract_z
Cs1 Cs 0.0000 0.0000 0.0000
Cs2 Cs 0.2500 0.2500 0.0000
Te1 Te 0.2500 0.2500 0.5000
As1 As 0.0000 0.5000 0.0000
Se1 Se 0.0227 0.2785 0.4935
Se2 Se 0.1912 0.4782 0.4253
```

Largest 6 diffraction maxima, by intensity, 2θ from 5° to 70°:
26.51°, 3.362 Å, I = 100, (0 0 2)
28.49°, 3.133 Å, I = 84, (0 4 0)
28.72°, 3.109 Å, I = 84, (4 0 -2)
39.31°, 2.292 Å, I = 59, (0 4 2)
40.90°, 2.207 Å, I = 55, (4 4 -2)
47.49°, 1.915 Å, I = 33, (4 4 0)

---

Simulated PXRD pattern
Compound: Th8FeTe4Os3
Radiation: Cu Kα X-rays
Structure: the PBE geometry in Alexandria

Structural model:
```
data_Th8FeTe4Os3
_chemical_formula_sum 'Th24 Fe3 Te12 Os9'
_symmetry_space_group_name_H-M 'R -3 m'
_symmetry_Int_Tables_number 166
_symmetry_space_group_name_Hall '-R 3 2"'
_cell_length_a 8.3418
_cell_length_b 8.3418
_cell_length_c 23.0259
_cell_angle_alpha 90.00
_cell_angle_beta 90.00
_cell_angle_gamma 120.00
loop_
_atom_site_label
_atom_site_type_symbol
_atom_site_fract_x
_atom_site_fract_y
_atom_site_fract_z
Th1 Th 0.0000 0.0000 0.2331
Th2 Th 0.0067 0.5033 0.2320
Fe1 Fe 0.0000 0.0000 0.5000
Te1 Te 0.0000 0.0000 0.0000
Te2 Te 0.0000 0.5000 0.0000
Os1 Os 0.0000 0.5000 0.5000
```

Largest 6 diffraction maxima, by intensity, 2θ from 5° to 70°:
29.19°, 3.060 Å, I = 100, (0 2 4)
43.39°, 2.085 Å, I = 39, (2 2 0)
40.06°, 2.251 Å, I = 29, (2 0 8)
53.15°, 1.723 Å, I = 19, (4 0 4)
11.53°, 7.675 Å, I = 18, (0 0 3)
36.96°, 2.432 Å, I = 14, (0 2 7)

---

Simulated PXRD pattern
Compound: AgSn3Au
Radiation: Cu Kα X-rays
Structure: the PBE geometry in Alexandria

Structural model:
```
data_AgSn3Au
_chemical_formula_sum 'Ag8 Sn24 Au8'
_symmetry_space_group_name_H-M 'C 1 2/c 1'
_symmetry_Int_Tables_number 15
_symmetry_space_group_name_Hall '-C 2yc'
_cell_length_a 12.4734
_cell_length_b 6.7048
_cell_length_c 11.8723
_cell_angle_alpha 90.00
_cell_angle_beta 102.24
_cell_angle_gamma 90.00
loop_
_atom_site_label
_atom_site_type_symbol
_atom_site_fract_x
_atom_site_fract_y
_atom_site_fract_z
Ag1 Ag 0.1409 0.0509 0.1390
Sn1 Sn 0.0234 0.2794 0.5150
Sn2 Sn 0.1297 0.3956 0.2827
Sn3 Sn 0.2059 0.1151 0.8838
Au1 Au 0.0000 0.2340 0.7500
Au2 Au 0.2500 0.2500 0.5000
```

Largest 6 diffraction maxima, by intensity, 2θ from 5° to 70°:
41.66°, 2.168 Å, I = 100, (5 1 1)
39.98°, 2.255 Å, I = 87, (4 2 0)
42.13°, 2.145 Å, I = 84, (1 3 1)
41.15°, 2.194 Å, I = 77, (0 2 4)
43.38°, 2.086 Å, I = 72, (1 1 5)
30.09°, 2.970 Å, I = 59, (4 0 -2)

---

Simulated PXRD pattern
Compound: MoWSe4
Radiation: Cu Kα X-rays
Structure: the PBE geometry in Alexandria

Structural model:
```
data_MoWSe4
_chemical_formula_sum 'Mo2 W2 Se8'
_symmetry_space_group_name_H-M 'P 3 m 1'
_symmetry_Int_Tables_number 156
_symmetry_space_group_name_Hall 'P 3 -2"'
_cell_length_a 3.3239
_cell_length_b 3.3239
_cell_length_c 28.3268
_cell_angle_alpha 90.00
_cell_angle_beta 90.00
_cell_angle_gamma 120.00
loop_
_atom_site_label
_atom_site_type_symbol
_atom_site_fract_x
_atom_site_fract_y
_atom_site_fract_z
Mo1 Mo 0.0000 0.0000 0.0000
Mo2 Mo 0.3333 0.6667 0.2483
W1 W 0.0000 0.0000 0.4973
W2 W 0.3333 0.6667 0.7504
Se1 Se 0.0000 0.0000 0.1893
Se2 Se 0.0000 0.0000 0.3073
Se3 Se 0.0000 0.0000 0.6910
Se4 Se 0.0000 0.0000 0.8098
Se5 Se 0.3333 0.6667 0.0590
Se6 Se 0.3333 0.6667 0.4379
Se7 Se 0.3333 0.6667 0.5566
Se8 Se 0.3333 0.6667 0.9410
```

Largest 6 diffraction maxima, by intensity, 2θ from 5° to 70°:
12.50°, 7.082 Å, I = 100, (0 0 4)
36.56°, 2.458 Å, I = 81, (1 0 6)
44.89°, 2.019 Å, I = 60, (1 0 10)
31.07°, 2.879 Å, I = 34, (1 0 0)
55.27°, 1.662 Å, I = 26, (1 1 0)
33.61°, 2.667 Å, I = 14, (0 1 4)

---

Simulated PXRD pattern
Compound: Pm2ErBi3
Radiation: Cu Kα X-rays
Structure: the PBE geometry in Alexandria

Structural model:
```
data_Pm2ErBi3
_chemical_formula_sum 'Pm32 Er16 Bi48'
_symmetry_space_group_name_H-M 'F d d d'
_symmetry_Int_Tables_number 70
_cell_length_a 9.0669
_cell_length_b 12.8330
_cell_length_c 27.2248
_cell_angle_alpha 90.00
_cell_angle_beta 90.00
_cell_angle_gamma 90.00
loop_
_symmetry_equiv_pos_as_xyz
'x,y,z'
'-x,-y,-z'
'-x+1/4,-y+1/4,z'
'x+1/4,y+1/4,-z'
'x,-y+1/4,-z+1/4'
'-x,y+1/4,z+1/4'
'-x+1/4,y,-z+1/4'
'x+1/4,-y,z+1/4'
'x,y+1/2,z+1/2'
'-x,-y+1/2,-z+1/2'
'-x+1/4,-y+3/4,z+1/2'
'x+1/4,y+3/4,-z+1/2'
'x,-y+3/4,-z+3/4'
'-x,y+3/4,z+3/4'
'-x+1/4,y+1/2,-z+3/4'
'x+1/4,-y+1/2,z+3/4'
'x+1/2,y,z+1/2'
'-x+1/2,-y,-z+1/2'
'-x+3/4,-y+1/4,z+1/2'
'x+3/4,y+1/4,-z+1/2'
'x+1/2,-y+1/4,-z+3/4'
'-x+1/2,y+1/4,z+3/4'
'-x+3/4,y,-z+3/4'
'x+3/4,-y,z+3/4'
'x+1/2,y+1/2,z'
'-x+1/2,-y+1/2,-z'
'-x+3/4,-y+3/4,z'
'x+3/4,y+3/4,-z'
'x+1/2,-y+3/4,-z+1/4'
'-x+1/2,y+3/4,z+1/4'
'-x+3/4,y+1/2,-z+1/4'
'x+3/4,-y+1/2,z+1/4'
loop_
_atom_site_label
_atom_site_type_symbol
_atom_site_fract_x
_atom_site_fract_y
_atom_site_fract_z
Pm1 Pm 0.1250 0.1250 0.0426
Pm2 Pm 0.1250 0.1250 0.3739
Er1 Er 0.1250 0.1250 0.5415
Bi1 Bi 0.1179 0.3750 0.8750
Bi2 Bi 0.1215 0.3719 0.7095
```

Largest 6 diffraction maxima, by intensity, 2θ from 5° to 70°:
27.81°, 3.207 Å, I = 100, (2 0 6)
39.74°, 2.268 Å, I = 78, (2 4 6)
65.02°, 1.434 Å, I = 37, (2 8 6)
49.20°, 1.852 Å, I = 28, (0 4 12)
57.46°, 1.604 Å, I = 13, (0 8 0)
24.03°, 3.704 Å, I = 4, (0 2 6)

---

Simulated PXRD pattern
Compound: K6RbAu4
Radiation: Cu Kα X-rays
Structure: the PBE geometry in Alexandria

Structural model:
```
data_K6RbAu4
_chemical_formula_sum 'K12 Rb2 Au8'
_symmetry_space_group_name_H-M 'I 4/m m m'
_symmetry_Int_Tables_number 139
_symmetry_space_group_name_Hall '-I 4 2'
_cell_length_a 5.5270
_cell_length_b 5.5270
_cell_length_c 30.0179
_cell_angle_alpha 90.00
_cell_angle_beta 90.00
_cell_angle_gamma 90.00
loop_
_atom_site_label
_atom_site_type_symbol
_atom_site_fract_x
_atom_site_fract_y
_atom_site_fract_z
K1 K 0.0000 0.5000 0.1130
K2 K 0.0000 0.5000 0.2500
Rb1 Rb 0.0000 0.0000 0.0000
Au1 Au 0.0000 0.0000 0.1807
Au2 Au 0.0000 0.0000 0.4536
```

Largest 6 diffraction maxima, by intensity, 2θ from 5° to 70°:
18.34°, 4.838 Å, I = 100, (1 0 3)
32.40°, 2.763 Å, I = 54, (2 0 0)
33.10°, 2.707 Å, I = 49, (1 1 8)
36.73°, 2.447 Å, I = 47, (1 0 11)
49.77°, 1.832 Å, I = 40, (2 1 11)
22.75°, 3.908 Å, I = 39, (1 1 0)

---

Simulated PXRD pattern
Compound: PmHgBiO4
Radiation: Cu Kα X-rays
Structure: the PBE geometry in Alexandria

Structural model:
```
data_PmHgBiO4
_chemical_formula_sum 'Pm4 Hg4 Bi4 O16'
_symmetry_space_group_name_H-M 'I m m a'
_symmetry_Int_Tables_number 74
_symmetry_space_group_name_Hall '-I 2b 2'
_cell_length_a 6.7740
_cell_length_b 7.1865
_cell_length_c 10.1570
_cell_angle_alpha 90.00
_cell_angle_beta 90.00
_cell_angle_gamma 90.00
loop_
_atom_site_label
_atom_site_type_symbol
_atom_site_fract_x
_atom_site_fract_y
_atom_site_fract_z
Pm1 Pm 0.0000 0.0000 0.0000
Hg1 Hg 0.2500 0.2500 0.2500
Bi1 Bi 0.0000 0.2500 0.6416
O1 O 0.0000 0.0207 0.2349
O2 O 0.2289 0.2500 0.9831
```

Largest 6 diffraction maxima, by intensity, 2θ from 5° to 70°:
30.48°, 2.933 Å, I = 100, (2 1 1)
29.49°, 3.029 Å, I = 80, (1 0 3)
51.69°, 1.769 Å, I = 46, (2 2 4)
25.18°, 3.537 Å, I = 37, (1 1 2)
29.16°, 3.063 Å, I = 30, (0 1 3)
47.33°, 1.920 Å, I = 23, (2 3 1)

---

Simulated PXRD pattern
Compound: Sr2Mg5Sn4
Radiation: Cu Kα X-rays
Structure: the PBE geometry in Alexandria

Structural model:
```
data_Sr2Mg5Sn4
_chemical_formula_sum 'Sr8 Mg20 Sn16'
_symmetry_space_group_name_H-M 'F m m m'
_symmetry_Int_Tables_number 69
_symmetry_space_group_name_Hall '-F 2 2'
_cell_length_a 6.4728
_cell_length_b 11.8500
_cell_length_c 16.8132
_cell_angle_alpha 90.00
_cell_angle_beta 90.00
_cell_angle_gamma 90.00
loop_
_atom_site_label
_atom_site_type_symbol
_atom_site_fract_x
_atom_site_fract_y
_atom_site_fract_z
Sr1 Sr 0.0000 0.0000 0.1478
Mg1 Mg 0.0000 0.0000 0.5000
Mg2 Mg 0.2500 0.2500 0.0000
Mg3 Mg 0.2500 0.2500 0.2500
Sn1 Sn 0.0000 0.1317 0.3618
```

Largest 6 diffraction maxima, by intensity, 2θ from 5° to 70°:
30.95°, 2.889 Å, I = 100, (1 3 3)
34.99°, 2.564 Å, I = 61, (2 0 4)
26.97°, 3.306 Å, I = 55, (1 3 1)
21.14°, 4.203 Å, I = 52, (0 0 4)
27.56°, 3.236 Å, I = 41, (2 0 0)
46.42°, 1.956 Å, I = 32, (1 3 7)

---

Simulated PXRD pattern
Compound: AlHg3S4
Radiation: Cu Kα X-rays
Structure: the PBE geometry in Alexandria

Structural model:
```
data_AlHg3S4
_chemical_formula_sum 'Al1 Hg3 S4'
_symmetry_space_group_name_H-M 'P -4 3 m'
_symmetry_Int_Tables_number 215
_symmetry_space_group_name_Hall 'P -4 2 3'
_cell_length_a 5.9211
_cell_length_b 5.9211
_cell_length_c 5.9211
_cell_angle_alpha 90.00
_cell_angle_beta 90.00
_cell_angle_gamma 90.00
loop_
_atom_site_label
_atom_site_type_symbol
_atom_site_fract_x
_atom_site_fract_y
_atom_site_fract_z
Al1 Al 0.0000 0.0000 0.0000
Hg1 Hg 0.0000 0.5000 0.5000
S1 S 0.2245 0.2245 0.2245
```

Largest 6 diffraction maxima, by intensity, 2θ from 5° to 70°:
26.07°, 3.419 Å, I = 100, (1 1 1)
43.22°, 2.093 Å, I = 53, (2 2 0)
51.17°, 1.785 Å, I = 48, (3 1 1)
30.19°, 2.961 Å, I = 31, (2 0 0)
69.15°, 1.358 Å, I = 20, (3 3 1)
21.22°, 4.187 Å, I = 17, (1 1 0)

---

Simulated PXRD pattern
Compound: PaAlCr
Radiation: Cu Kα X-rays
Structure: the PBE geometry in Alexandria

Structural model:
```
data_PaAlCr
_chemical_formula_sum 'Pa4 Al4 Cr4'
_symmetry_space_group_name_H-M 'I m m a'
_symmetry_Int_Tables_number 74
_symmetry_space_group_name_Hall '-I 2b 2'
_cell_length_a 5.3640
_cell_length_b 5.4219
_cell_length_c 7.2470
_cell_angle_alpha 90.00
_cell_angle_beta 90.00
_cell_angle_gamma 90.00
loop_
_atom_site_label
_atom_site_type_symbol
_atom_site_fract_x
_atom_site_fract_y
_atom_site_fract_z
Pa1 Pa 0.0000 0.2500 0.1046
Al1 Al 0.0000 0.0000 0.5000
Cr1 Cr 0.2500 0.2500 0.7500
```

Largest 6 diffraction maxima, by intensity, 2θ from 5° to 70°:
34.13°, 2.627 Å, I = 100, (1 1 2)
20.60°, 4.311 Å, I = 82, (1 0 1)
39.26°, 2.295 Å, I = 61, (1 2 1)
40.91°, 2.206 Å, I = 52, (0 1 3)
39.49°, 2.282 Å, I = 52, (2 1 1)
33.04°, 2.711 Å, I = 37, (0 2 0)